NaTl5Cd2: computed PXRD pattern (Cu Kα X-rays), based on a DFT-relaxed cell (GGA-PBE, Alexandria).
Peak positions follow from Bragg's law for the DFT cell and can differ from measured ones.

Peak list (8 most intense, 5° ≤ 2θ ≤ 70°, in order of rising 2θ)
- (0 1 1), 2θ 18.17, intensity 19
- (1 0 4), 2θ 29.36, intensity 31
- (2 1 0), 2θ 33.28, intensity 61
- (1 1 -4), 2θ 34.12, intensity 100
- (0 2 0), 2θ 34.40, intensity 35
- (3 0 4), 2θ 50.87, intensity 23
- (1 3 -4), 2θ 61.44, intensity 18
- (3 2 4), 2θ 62.86, intensity 23

Structure:
Cell: 6.2882 5.2140 13.9029 Å, 90.00 90.07 90.00°
Space group P2_1/m (No. 11)
Inequivalent atoms, fractional coordinates:
Na1 0.1538 0.2500 0.2499
Tl1 0.1566 0.2500 0.7496
Tl2 0.1727 0.2500 0.5045
Tl3 0.1727 0.2500 0.9950
Tl4 0.3432 0.7500 0.1261
Tl5 0.3434 0.7500 0.3740
Cd1 0.3507 0.7500 0.6326
Cd2 0.3510 0.7500 0.8671